1.
Starting from a structure optimized by DFT (GGA-PBE), the powder diffraction line list of K3Mo3C3Se4N2 was simulated for Cu Kα X-rays.

The 10 most intense peaks (15° ≤ 2θ ≤ 90°), in order of rising 2θ:
2theta, I (rel.)
24.0, 24
28.9, 35
30.4, 79
37.4, 24
39.1, 100
39.4, 33
42.5, 55
48.0, 46
49.0, 37
50.6, 30

Crystal structure
Cell: 9.597 9.597 9.597 Å, 104.53 104.53 119.87°
Element x y z (fractional)
1 K 0.124 0.780 0.904
2 K 0.220 0.124 0.344
3 K 0.250 0.750 0.500
4 K 0.750 0.250 0.500
5 K 0.780 0.876 0.656
6 K 0.876 0.220 0.096
7 Mo 0.294 0.294 0.000
8 Mo 0.345 0.448 0.793
9 Mo 0.448 0.655 0.103
10 Mo 0.552 0.345 0.897
11 Mo 0.655 0.552 0.207
12 Mo 0.706 0.706 0.000
13 C 0.066 0.066 0.000
14 C 0.169 0.395 0.564
15 C 0.395 0.831 0.227
16 C 0.605 0.169 0.773
17 C 0.831 0.605 0.436
18 C 0.934 0.934 0.000
19 Se 0.111 0.407 0.899
20 Se 0.213 0.111 0.704
21 Se 0.407 0.509 0.296
22 Se 0.491 0.787 0.899
23 Se 0.509 0.213 0.101
24 Se 0.593 0.491 0.704
25 Se 0.787 0.889 0.296
26 Se 0.889 0.593 0.101
27 N 0.071 0.369 0.440
28 N 0.369 0.929 0.298
29 N 0.631 0.071 0.702
30 N 0.929 0.631 0.560


2.
Starting from a structure optimized by DFT (GGA-PBE), the powder diffraction line list of AcTbPm6Nd2 was simulated for Cu Kα X-rays.

The 10 most intense peaks (15° ≤ 2θ ≤ 90°), in order of rising 2θ:
2theta, I (rel.)
27.5, 51
29.7, 37
29.8, 47
30.1, 100
30.6, 31
31.2, 16
33.0, 44
45.4, 11
52.7, 11
57.6, 11

Crystal structure
Cell: 9.115 9.115 9.834 Å, 93.15 93.15 118.27°
Element x y z (fractional)
1 Ac 0.023 0.977 0.750
2 Ac 0.977 0.023 0.250
3 Tb 0.410 0.590 0.250
4 Tb 0.590 0.410 0.750
5 Pm 0.017 0.563 0.687
6 Pm 0.129 0.747 0.055
7 Pm 0.253 0.871 0.445
8 Pm 0.290 0.502 0.883
9 Pm 0.437 0.983 0.813
10 Pm 0.498 0.710 0.617
11 Pm 0.502 0.290 0.383
12 Pm 0.563 0.017 0.187
13 Pm 0.710 0.498 0.117
14 Pm 0.747 0.129 0.555
15 Pm 0.871 0.253 0.945
16 Pm 0.983 0.437 0.313
17 Nd 0.198 0.313 0.545
18 Nd 0.313 0.198 0.045
19 Nd 0.687 0.802 0.955
20 Nd 0.802 0.687 0.455


3.
Starting from a structure optimized by DFT (GGA-PBE), the powder diffraction line list of PrSm12Sc2 was simulated for Cu Kα X-rays.

The 10 most intense peaks (15° ≤ 2θ ≤ 90°), in order of rising 2θ:
2theta, I (rel.)
28.5, 21
29.5, 39
30.3, 33
30.8, 21
31.6, 70
31.7, 100
32.3, 18
32.7, 42
33.8, 17
36.0, 21

Crystal structure
Cell: 6.650 6.650 25.180 Å, 93.13 93.13 116.78°
Element x y z (fractional)
1 Pr 0.240 0.240 0.483
2 Pr 0.760 0.760 0.517
3 Sm 0.044 0.607 0.827
4 Sm 0.098 0.527 0.702
5 Sm 0.154 0.154 0.621
6 Sm 0.154 0.667 0.057
7 Sm 0.203 0.203 0.061
8 Sm 0.259 0.702 0.572
9 Sm 0.298 0.741 0.428
10 Sm 0.299 0.299 0.897
11 Sm 0.309 0.309 0.335
12 Sm 0.333 0.846 0.943
13 Sm 0.393 0.956 0.173
14 Sm 0.473 0.902 0.298
15 Sm 0.527 0.098 0.702
16 Sm 0.607 0.044 0.827
17 Sm 0.667 0.154 0.057
18 Sm 0.691 0.691 0.665
19 Sm 0.701 0.701 0.103
20 Sm 0.702 0.259 0.572
21 Sm 0.741 0.298 0.428
22 Sm 0.797 0.797 0.939
23 Sm 0.846 0.333 0.943
24 Sm 0.846 0.846 0.379
25 Sm 0.902 0.473 0.298
26 Sm 0.956 0.393 0.173
27 Sc 0.059 0.059 0.766
28 Sc 0.461 0.461 0.213
29 Sc 0.539 0.539 0.787
30 Sc 0.941 0.941 0.234


4.
Starting from a structure optimized by DFT (GGA-PBE), the powder diffraction line list of Co20B6W3 was simulated for Cu Kα X-rays.

The 10 most intense peaks (15° ≤ 2θ ≤ 90°), in order of rising 2θ:
2theta, I (rel.)
24.0, 40
28.2, 14
38.4, 34
42.2, 84
44.9, 100
49.2, 43
55.4, 20
66.8, 13
77.2, 39
79.1, 16

Crystal structure
Cell: 7.414 7.414 7.414 Å, 60.00 60.00 60.00°
Element x y z (fractional)
1 Co 0.000 0.000 0.341
2 Co 0.000 0.000 0.659
3 Co 0.000 0.341 0.000
4 Co 0.000 0.341 0.659
5 Co 0.000 0.659 0.000
6 Co 0.000 0.659 0.341
7 Co 0.146 0.618 0.618
8 Co 0.341 0.000 0.000
9 Co 0.341 0.000 0.659
10 Co 0.341 0.659 0.000
11 Co 0.382 0.382 0.382
12 Co 0.382 0.382 0.854
13 Co 0.382 0.854 0.382
14 Co 0.618 0.146 0.618
15 Co 0.618 0.618 0.146
16 Co 0.618 0.618 0.618
17 Co 0.659 0.000 0.000
18 Co 0.659 0.000 0.341
19 Co 0.659 0.341 0.000
20 Co 0.854 0.382 0.382
21 B 0.274 0.274 0.726
22 B 0.274 0.726 0.274
23 B 0.274 0.726 0.726
24 B 0.726 0.274 0.274
25 B 0.726 0.274 0.726
26 B 0.726 0.726 0.274
27 W 0.000 0.000 0.000
28 W 0.250 0.250 0.250
29 W 0.750 0.750 0.750


- Which formula does entry 2 have?
  AcTbPm6Nd2